Simulated powder X-ray diffraction pattern
Compound: Dy5Ho8Cd
Radiation: Cu Kα X-rays
Structure: a GGA-PBE-relaxed structure
Peak positions follow from Bragg's law for the DFT cell and can differ from measured ones.

Most intense lines, 2θ = 15–90°, sorted by position:
2θ 28.69, intensity 60; 2θ 29.59, intensity 60; 2θ 29.70, intensity 85; 2θ 34.45, intensity 100; 2θ 34.93, intensity 46; 2θ 35.21, intensity 48

Structure:
Lattice parameters (Å, degrees): 9.512 9.512 9.877 90.00 90.00 90.00
Space group I-4 (No. 82)
One atom of each set of equivalent atoms:
Dy  0.000  0.000  0.000 (multiplicity 2)
Dy  0.102  0.792  0.420 (multiplicity 8)
Ho  0.068  0.674  0.091 (multiplicity 8)
Ho  0.088  0.814  0.754 (multiplicity 8)
Cd  0.000  0.500  0.750 (multiplicity 2)